No. 1
The following is a computed X-ray powder pattern of NbCo4Pd. It was derived from a cell relaxed with PBE, using Cu Kα.
No peak broadening, texture or thermal motion is included.

Atomic structure:
Cell lengths 6.719, 6.719, 6.719 Å; angles 90.00, 90.00, 90.00 degrees
Space group F-43m (No. 216)
One atom of each set of equivalent atoms:
Nb1 0.000 0.000 0.000 [4 per cell]
Co1 0.125 0.125 0.375 [16 per cell]
Pd1 0.250 0.250 0.750 [4 per cell]

Principal peaks in the range 10 to 80 degrees two-theta, most intense first:
two_theta, d (Å), Rel. int., h k l
44.74, 2.026, 100, 3 1 1
37.88, 2.375, 47, 2 2 0
73.20, 1.293, 29, 5 1 1
46.84, 1.940, 25, 2 2 2
68.40, 1.371, 16, 4 2 2
22.93, 3.879, 1, 1 1 1


No. 2
The following is a computed X-ray powder pattern of Nb4Co2PdSe12. It was derived from a cell relaxed with PBE, using Cu Kα.
No peak broadening, texture or thermal motion is included.

Atomic structure:
Cell lengths 14.147, 3.418, 19.479 Å; angles 90.00, 109.86, 90.00 degrees
Space group C2/m (No. 12)
One atom of each set of equivalent atoms:
Nb1 0.118 0.000 0.150 [4 per cell]
Nb2 0.241 0.000 0.407 [4 per cell]
Co1 0.224 0.500 0.283 [4 per cell]
Pd1 0.000 0.500 0.000 [2 per cell]
Se1 0.031 0.500 0.882 [4 per cell]
Se2 0.102 0.000 0.281 [4 per cell]
Se3 0.133 0.000 0.610 [4 per cell]
Se4 0.133 0.500 0.452 [4 per cell]
Se5 0.182 0.500 0.073 [4 per cell]
Se6 0.200 0.500 0.765 [4 per cell]

Principal peaks in the range 10 to 80 degrees two-theta, most intense first:
two_theta, d (Å), Rel. int., h k l
12.52, 7.071, 100, 2 0 -1
34.82, 2.577, 52, 3 1 -4
13.53, 6.543, 30, 2 0 -2
39.65, 2.273, 27, 3 1 -6
36.30, 2.475, 26, 2 0 6
53.62, 1.709, 23, 0 2 0
43.08, 2.100, 22, 5 1 0
13.31, 6.653, 20, 2 0 0
27.79, 3.211, 16, 1 1 1
29.46, 3.032, 15, 1 1 2


No. 3
The following is a computed X-ray powder pattern of PuNbCo. It was derived from a cell relaxed with PBE, using Cu Kα.
No peak broadening, texture or thermal motion is included.

Atomic structure:
Cell lengths 5.067, 8.943, 9.201 Å; angles 90.00, 90.00, 90.00 degrees
Space group Fmmm (No. 69)
One atom of each set of equivalent atoms:
Pu1 0.000 0.162 0.000 [8 per cell]
Nb1 0.000 0.000 0.339 [8 per cell]
Co1 0.250 0.250 0.250 [8 per cell]

Principal peaks in the range 10 to 80 degrees two-theta, most intense first:
two_theta, d (Å), Rel. int., h k l
36.30, 2.475, 100, 1 3 1
35.66, 2.518, 62, 1 1 3
40.66, 2.219, 30, 2 0 2
45.64, 1.988, 28, 2 2 2
35.43, 2.533, 24, 2 0 0
19.29, 4.601, 23, 0 0 2
22.36, 3.976, 21, 1 1 1
45.09, 2.011, 21, 0 4 2
64.18, 1.451, 20, 3 3 1
62.04, 1.496, 19, 1 3 5


No. 4
The following is a computed X-ray powder pattern of Rb2NbCo. It was derived from a cell relaxed with PBE, using Cu Kα.
No peak broadening, texture or thermal motion is included.

Atomic structure:
Cell lengths 8.509, 8.509, 8.509 Å; angles 90.00, 90.00, 90.00 degrees
Space group Fm-3m (No. 225)
One atom of each set of equivalent atoms:
Rb1 0.250 0.250 0.250 [8 per cell]
Nb1 0.000 0.000 0.000 [4 per cell]
Co1 0.000 0.000 0.500 [4 per cell]

Principal peaks in the range 10 to 80 degrees two-theta, most intense first:
two_theta, d (Å), Rel. int., h k l
29.70, 3.009, 100, 2 2 0
52.70, 1.737, 38, 4 2 2
42.49, 2.127, 18, 4 0 0
69.92, 1.345, 16, 6 2 0
61.66, 1.504, 12, 4 4 0
77.76, 1.228, 4, 4 4 4
18.06, 4.913, 2, 1 1 1
34.97, 2.566, 1, 3 1 1
46.52, 1.952, 1, 3 3 1


No. 5
The following is a computed X-ray powder pattern of Rb3NbCo. It was derived from a cell relaxed with PBE, using Cu Kα.
No peak broadening, texture or thermal motion is included.

Atomic structure:
Cell lengths 6.472, 6.472, 6.472 Å; angles 90.00, 90.00, 90.00 degrees
Space group Pm-3m (No. 221)
One atom of each set of equivalent atoms:
Rb1 0.000 0.000 0.500 [3 per cell]
Nb1 0.500 0.500 0.500 [1 per cell]
Co1 0.000 0.000 0.000 [1 per cell]

Principal peaks in the range 10 to 80 degrees two-theta, most intense first:
two_theta, d (Å), Rel. int., h k l
27.57, 3.236, 100, 2 0 0
23.81, 3.736, 95, 1 1 1
39.38, 2.288, 75, 2 2 0
46.54, 1.951, 46, 3 1 1
64.38, 1.447, 34, 4 2 0
48.74, 1.868, 27, 2 2 2
71.41, 1.321, 25, 4 2 2
62.56, 1.485, 19, 3 3 1
19.40, 4.576, 14, 1 1 0
76.49, 1.245, 14, 5 1 1


No. 6
The following is a computed X-ray powder pattern of NbCoRh4. It was derived from a cell relaxed with PBE, using Cu Kα.
No peak broadening, texture or thermal motion is included.

Atomic structure:
Cell lengths 6.899, 4.789, 5.254 Å; angles 90.00, 96.12, 90.00 degrees
Space group P2/c (No. 13)
One atom of each set of equivalent atoms:
Nb1 0.000 0.099 0.250 [2 per cell]
Co1 0.500 0.416 0.250 [2 per cell]
Rh1 0.175 0.416 0.917 [4 per cell]
Rh2 0.337 0.092 0.586 [4 per cell]

Principal peaks in the range 10 to 80 degrees two-theta, most intense first:
two_theta, d (Å), Rel. int., h k l
43.04, 2.102, 100, 1 2 -1
42.73, 2.116, 90, 1 1 2
43.88, 2.063, 83, 3 1 0
41.15, 2.194, 70, 2 0 -2
37.87, 2.376, 50, 2 1 1
67.99, 1.379, 30, 2 3 1
76.29, 1.248, 18, 3 2 -3
37.57, 2.394, 17, 0 2 0
75.27, 1.263, 16, 1 1 -4
56.21, 1.636, 16, 0 1 3


Question: Which formula does entry 1 have?
Answer: NbCo4Pd